Record 1
The following is a theoretical X-ray diffraction stick pattern of Li5Mn8B8O24. It was derived from a DFT-relaxed cell (PBE+U, the Materials Project), using Cu Kα, 1.54184 Å.

Structural model:
a = 5.276 Å, b = 9.130 Å, c = 11.431 Å
α = 67.31°, β = 77.45°, γ = 88.71°
Space group P1 (No. 1)
Inequivalent atoms, fractional coordinates:
Li  0.000  0.000  0.000 [1 per cell]
Li  0.015  0.030  0.262 [1 per cell]
Li  0.217  0.270  0.493 [1 per cell]
Li  0.529  0.514  0.978 [1 per cell]
Li  0.779  0.807  0.721 [1 per cell]
Mn  0.018  0.684  0.270 [1 per cell]
Mn  0.263  0.914  0.520 [1 per cell]
Mn  0.270  0.598  0.766 [1 per cell]
Mn  0.495  0.224  0.265 [1 per cell]
Mn  0.496  0.823  0.023 [1 per cell]
Mn  0.709  0.429  0.517 [1 per cell]
Mn  0.761  0.124  0.772 [1 per cell]
Mn  0.981  0.323  0.023 [1 per cell]
B  0.209  0.578  0.514 [1 per cell]
B  0.271  0.935  0.777 [1 per cell]
B  0.465  0.154  0.031 [1 per cell]
B  0.505  0.873  0.277 [1 per cell]
B  0.727  0.082  0.526 [1 per cell]
B  0.785  0.458  0.766 [1 per cell]
B  0.979  0.366  0.288 [1 per cell]
B  0.991  0.646  0.024 [1 per cell]
O  0.000  0.410  0.817 [1 per cell]
O  0.090  0.743  0.079 [1 per cell]
O  0.098  0.026  0.817 [1 per cell]
O  0.165  0.554  0.977 [1 per cell]
O  0.194  0.845  0.710 [1 per cell]
O  0.199  0.125  0.057 [1 per cell]
O  0.223  0.366  0.306 [1 per cell]
O  0.284  0.683  0.561 [1 per cell]
O  0.332  0.443  0.525 [1 per cell]
O  0.351  0.974  0.330 [1 per cell]
O  0.373  0.786  0.229 [1 per cell]
O  0.478  0.106  0.494 [1 per cell]
O  0.516  0.916  0.805 [1 per cell]
O  0.567  0.274  0.059 [1 per cell]
O  0.635  0.062  0.982 [1 per cell]
O  0.652  0.583  0.779 [1 per cell]
O  0.701  0.370  0.703 [1 per cell]
O  0.738  0.647  0.017 [1 per cell]
O  0.765  0.872  0.266 [1 per cell]
O  0.805  0.475  0.322 [1 per cell]
O  0.828  0.199  0.558 [1 per cell]
O  0.861  0.954  0.527 [1 per cell]
O  0.891  0.267  0.236 [1 per cell]
O  0.988  0.609  0.459 [1 per cell]

The 6 most intense peaks (2θ = 5–70°), most intense first:
2theta  I/Imax  hkl
21.41  100  1 1 2
34.94  86  0 0 4
19.63  63  1 -1 0
26.39  38  0 2 3
34.00  35  2 0 1
25.85  34  0 2 -1

Record 2
The following is a theoretical X-ray diffraction stick pattern of Ba5Co4PtClO13. It was derived from a DFT-relaxed cell (PBE+U, the Materials Project), using Cu Kα, 1.54184 Å.

Structural model:
a = 5.805 Å, b = 10.073 Å, c = 25.297 Å
α = 90.00°, β = 90.00°, γ = 90.00°
Space group Cmc2_1 (No. 36)
Inequivalent atoms, fractional coordinates:
Ba  0.000  0.000  0.000 [4 per cell]
Ba  0.000  0.333  0.206 [4 per cell]
Ba  0.000  0.333  0.380 [4 per cell]
Ba  0.000  0.334  0.619 [4 per cell]
Ba  0.000  0.334  0.786 [4 per cell]
Co  0.000  0.002  0.143 [4 per cell]
Co  0.000  0.003  0.745 [4 per cell]
Co  0.000  0.332  0.070 [4 per cell]
Co  0.000  0.333  0.926 [4 per cell]
Pt  0.000  0.000  0.352 [4 per cell]
Cl  0.000  0.333  0.500 [4 per cell]
O  0.000  0.150  0.298 [4 per cell]
O  0.000  0.153  0.701 [4 per cell]
O  0.000  0.160  0.902 [4 per cell]
O  0.000  0.167  0.098 [4 per cell]
O  0.000  0.335  0.999 [4 per cell]
O  0.227  0.077  0.196 [8 per cell]
O  0.233  0.076  0.800 [8 per cell]
O  0.242  0.081  0.599 [8 per cell]
O  0.243  0.077  0.402 [8 per cell]

The 6 most intense peaks (2θ = 5–70°), most intense first:
2theta  I/Imax  hkl
30.78  100  2 0 0
30.45  37  0 2 7
27.60  23  0 2 6
6.99  22  0 0 2
24.96  20  0 2 5
54.73  19  3 3 0

Record 3
The following is a theoretical X-ray diffraction stick pattern of FeC2O6. It was derived from a DFT-relaxed cell (PBE+U, the Materials Project), using Cu Kα, 1.54184 Å.

Structural model:
a = 6.468 Å, b = 11.767 Å, c = 18.733 Å
α = 90.00°, β = 90.00°, γ = 90.00°
Space group Cccm (No. 66)
Inequivalent atoms, fractional coordinates:
Fe  0.000  0.000  0.250 [4 per cell]
Fe  0.250  0.250  0.000 [4 per cell]
C  0.000  0.500  0.156 [8 per cell]
C  0.250  0.250  0.406 [8 per cell]
O  0.000  0.146  0.250 [8 per cell]
O  0.068  0.252  0.407 [16 per cell]
O  0.182  0.497  0.343 [16 per cell]
O  0.244  0.395  0.000 [8 per cell]

The 6 most intense peaks (2θ = 5–70°), most intense first:
2theta  I/Imax  hkl
17.80  100  0 2 2
24.66  40  1 1 4
21.17  37  1 1 3
28.56  34  1 1 5
37.11  28  2 2 4
32.77  27  1 1 6

Record 4
The following is a theoretical X-ray diffraction stick pattern of LaCrSe2O. It was derived from a DFT-relaxed cell (PBE+U, the Materials Project), using Cu Kα, 1.54184 Å.

Structural model:
a = 8.783 Å, b = 3.898 Å, c = 11.706 Å
α = 90.00°, β = 90.00°, γ = 90.00°
Space group Pnma (No. 62)
Inequivalent atoms, fractional coordinates:
La  0.046  0.250  0.138 [4 per cell]
Cr  0.175  0.250  0.474 [4 per cell]
Se  0.096  0.750  0.607 [4 per cell]
Se  0.246  0.750  0.329 [4 per cell]
O  0.110  0.750  0.036 [4 per cell]

The 6 most intense peaks (2θ = 5–70°), most intense first:
2theta  I/Imax  hkl
31.63  100  2 1 1
34.08  96  1 1 3
34.25  91  3 0 2
32.47  44  0 1 3
46.59  44  0 2 0
59.09  40  3 2 2

Record 5
The following is a theoretical X-ray diffraction stick pattern of Sr4Cu2MoWO12. It was derived from a DFT-relaxed cell (PBE+U, the Materials Project), using Cu Kα, 1.54184 Å.

Structural model:
a = 5.508 Å, b = 5.508 Å, c = 8.516 Å
α = 90.00°, β = 90.00°, γ = 90.00°
Space group P4/m (No. 83)
Inequivalent atoms, fractional coordinates:
Sr  0.000  0.500  0.249 [4 per cell]
Cu  0.000  0.000  0.000 [1 per cell]
Cu  0.500  0.500  0.500 [1 per cell]
Mo  0.500  0.500  0.000 [1 per cell]
W  0.000  0.000  0.500 [1 per cell]
O  0.000  0.000  0.271 [2 per cell]
O  0.203  0.290  0.500 [4 per cell]
O  0.210  0.703  0.000 [4 per cell]
O  0.500  0.500  0.229 [2 per cell]

The 6 most intense peaks (2θ = 5–70°), most intense first:
2theta  I/Imax  hkl
31.12  100  1 1 2
32.51  48  2 0 0
57.13  40  1 3 2
46.64  28  2 2 0
54.47  22  2 0 4
42.46  21  0 0 4

Record 6
The following is a theoretical X-ray diffraction stick pattern of Li2FeBO4. It was derived from a DFT-relaxed cell (PBE+U, the Materials Project), using Cu Kα, 1.54184 Å.

Structural model:
a = 6.288 Å, b = 5.593 Å, c = 10.005 Å
α = 90.00°, β = 90.13°, γ = 90.00°
Space group P2_1/c (No. 14)
Inequivalent atoms, fractional coordinates:
Li  0.089  0.104  0.301 [4 per cell]
Li  0.263  0.148  0.586 [4 per cell]
Fe  0.259  0.649  0.410 [4 per cell]
B  0.497  0.749  0.659 [4 per cell]
O  0.014  0.723  0.848 [4 per cell]
O  0.307  0.200  0.905 [4 per cell]
O  0.316  0.709  0.083 [4 per cell]
O  0.497  0.740  0.297 [4 per cell]

The 6 most intense peaks (2θ = 5–70°), most intense first:
2theta  I/Imax  hkl
22.72  100  1 0 2
21.26  78  1 1 0
32.00  54  0 2 0
34.41  54  1 1 3
33.67  48  2 0 -2
23.06  37  1 1 -1